[1]
Starting from a DFT-relaxed cell (GGA-PBE, the Materials Project), the powder X-ray diffraction pattern of Na4MgZrSi2SO12 was calculated for copper Kα.
Neutral-atom scattering factors, no anomalous dispersion.

Top 10 peaks for 2θ = 10–90°, in order of rising 2θ:
2θ 13.59, I = 36; 2θ 19.27, I = 59; 2θ 22.62, I = 33; 2θ 23.66, I = 21; 2θ 27.37, I = 21; 2θ 29.87, I = 22; 2θ 30.69, I = 100; 2θ 33.67, I = 54; 2θ 43.94, I = 21; 2θ 46.20, I = 38

Structure:
```
42
Lattice="7.9700 -4.6159 0.0000 7.9700 4.6159 0.0000 -5.3099 0.0000 7.5223" Properties=species:S:1:pos:R:3 pbc="T T T"
Na 5.3151 4.0198 3.7612
Na 6.2860 2.1935 0.8579
Na 1.9776 0.6186 5.4703
Na 4.6325 -0.6186 1.7091
Na 8.6243 1.1018 2.5210
Na 3.6310 -2.1935 4.6190
Na 5.9694 -1.1018 6.2822
Na 7.9700 -4.0198 0.0000
Mg 3.9890 2.2951 7.1630
Mg 6.6440 -2.2951 3.4018
Zr 2.9398 2.1645 1.8620
Zr 0.2849 -2.1645 5.6232
Si -1.9444 0.4463 6.3998
Si 0.7105 -0.4463 2.6387
Si 5.2890 0.9262 4.2436
Si 7.9440 -0.9262 0.4824
S 12.1903 0.9567 1.1282
S 9.5354 -0.9567 4.8894
O -0.5573 0.5069 2.8932
O 2.1362 3.0493 6.1040
O 3.8224 1.3887 0.1952
O -3.2123 -0.5069 6.6544
O 2.0924 0.5013 2.5036
O 4.7528 1.7479 2.8756
O 8.4324 3.2110 1.3508
O -0.5625 -0.5013 6.2648
O 4.3790 1.1957 5.5447
O 1.1674 -1.3887 3.9564
O 8.0080 0.6816 0.2160
O 6.8073 1.5987 4.4789
O 10.8534 1.5374 0.9088
O 5.3531 -0.6816 3.9771
O 2.0978 -1.7479 6.6368
O 7.0340 -1.1957 1.7836
O 7.7504 1.1693 7.4449
O 4.7912 -3.0493 2.3428
O 9.4809 0.5306 5.0706
O 9.4622 -1.5987 0.7177
O 12.1359 -0.5306 1.3094
O 8.1984 -1.5374 4.6700
O 5.7775 -3.2110 5.1120
O 10.4054 -1.1693 3.6837
```

[2]
Starting from a DFT-relaxed cell (GGA-PBE, the Materials Project), the powder X-ray diffraction pattern of Ac2Mg was calculated for copper Kα.
Neutral-atom scattering factors, no anomalous dispersion.

Top 10 peaks for 2θ = 10–90°, in order of rising 2θ:
2θ 12.66, I = 13; 2θ 22.72, I = 46; 2θ 25.48, I = 16; 2θ 29.10, I = 100; 2θ 31.02, I = 46; 2θ 40.56, I = 20; 2θ 50.34, I = 18; 2θ 50.47, I = 12; 2θ 50.90, I = 15; 2θ 53.98, I = 27

Structure:
```
6
Lattice="7.2803 -2.0366 0.0000 7.2803 2.0366 0.0000 -2.2760 0.0000 7.8410" Properties=species:S:1:pos:R:3 pbc="T T T"
Ac 2.0050 0.0000 0.5496
Ac 0.9599 0.0000 4.5647
Ac 11.3247 0.0000 3.2763
Ac 10.2796 0.0000 7.2913
Mg 5.5574 0.0000 5.7846
Mg 6.7272 0.0000 2.0564
```

[3]
Starting from a DFT-relaxed cell (GGA-PBE, the Materials Project), the powder X-ray diffraction pattern of SmInAu2 was calculated for copper Kα.
Neutral-atom scattering factors, no anomalous dispersion.

Top 10 peaks for 2θ = 10–90°, in order of rising 2θ:
2θ 21.67, I = 1; 2θ 25.07, I = 4; 2θ 35.75, I = 100; 2θ 44.16, I = 1; 2θ 51.45, I = 18; 2θ 58.07, I = 2; 2θ 64.23, I = 37; 2θ 75.74, I = 11; 2θ 81.25, I = 1; 2θ 86.68, I = 17

Structure:
```
4
Lattice="0.0000 3.5519 3.5519 3.5519 0.0000 3.5519 3.5519 3.5519 0.0000" Properties=species:S:1:pos:R:3 pbc="T T T"
Sm 0.0000 0.0000 0.0000
In 3.5519 3.5519 3.5519
Au 1.7760 1.7760 1.7760
Au 5.3279 5.3279 5.3279
```

[4]
Starting from a DFT-relaxed cell (GGA-PBE, the Materials Project), the powder X-ray diffraction pattern of Na3Ca4TiSi4O16F2 was calculated for copper Kα.
Neutral-atom scattering factors, no anomalous dispersion.

Top 10 peaks for 2θ = 10–90°, in order of rising 2θ:
2θ 16.27, I = 20; 2θ 28.45, I = 47; 2θ 29.02, I = 100; 2θ 30.19, I = 52; 2θ 31.81, I = 25; 2θ 32.60, I = 37; 2θ 34.50, I = 21; 2θ 44.46, I = 49; 2θ 48.84, I = 35; 2θ 54.26, I = 21

Structure:
```
60
Lattice="7.4584 0.0000 0.0000 0.0000 5.6899 0.0000 -0.0073 0.0000 18.8192" Properties=species:S:1:pos:R:3 pbc="T T T"
Na 0.8358 0.0000 4.6500
Na 0.9127 0.0463 14.1276
Na 2.6703 2.8842 14.1905
Na 4.7809 0.0392 4.6287
Na 6.5385 2.8913 4.6916
Na 6.6154 2.8450 14.1692
Ca 0.9363 2.0398 10.6432
Ca 0.9472 3.7539 17.6575
Ca 2.8045 0.9091 1.1292
Ca 2.8088 4.7921 8.4276
Ca 4.6424 1.9471 10.3916
Ca 4.6467 3.7541 17.6900
Ca 6.5039 0.9089 1.1617
Ca 6.5149 4.8847 8.1760
Ti 2.8093 2.6751 4.4505
Ti 4.6418 5.5201 14.3687
Si 0.6801 3.7238 2.0434
Si 0.6856 2.0569 7.3646
Si 2.5349 4.8884 11.5216
Si 2.5351 0.8826 16.7423
Si 4.9161 3.7276 2.0769
Si 4.9163 2.0435 7.2976
Si 6.7656 4.9018 11.4546
Si 6.7711 0.8788 16.7758
O 0.9101 3.2606 8.4344
O 0.9109 4.8729 11.8990
O 0.9198 0.8642 16.3674
O 0.9680 2.4420 1.0779
O 0.9758 5.1030 1.2306
O 1.0490 0.6004 7.9832
O 1.4144 3.6686 3.5056
O 1.4240 2.2877 5.8959
O 2.6866 4.1921 6.0310
O 2.7736 1.1637 3.5899
O 2.7947 0.4503 10.5180
O 2.8409 2.2667 17.5403
O 2.8403 5.2912 17.6943
O 2.8744 3.4863 10.7650
O 3.2444 0.8392 15.2658
O 3.2546 5.0157 12.9939
O 4.1966 2.1707 5.8253
O 4.2068 3.6842 3.5534
O 4.5768 0.6413 8.0542
O 4.6109 2.4462 1.1249
O 4.6103 5.1117 1.2789
O 4.6565 3.2953 8.3011
O 4.6775 4.0087 15.2292
O 4.7645 1.3471 12.7882
O 6.0272 5.1326 12.9233
O 6.0368 0.8236 15.3136
O 6.4022 3.4454 10.8360
O 6.4754 2.2580 17.5886
O 6.4832 5.2869 17.7413
O 6.5314 3.7092 2.4518
O 6.5403 2.0280 6.9202
O 6.5410 0.4156 10.3848
F 0.9002 3.7882 15.3651
F 0.9353 1.9819 12.9134
F 6.5159 4.8269 5.9058
F 6.5510 0.9432 3.4541
```

[5]
Starting from a DFT-relaxed cell (GGA-PBE, the Materials Project), the powder X-ray diffraction pattern of KRb2TlCl6 was calculated for copper Kα.
Neutral-atom scattering factors, no anomalous dispersion.

Top 10 peaks for 2θ = 10–90°, in order of rising 2θ:
2θ 13.69, I = 56; 2θ 15.82, I = 21; 2θ 22.45, I = 100; 2θ 26.39, I = 25; 2θ 31.96, I = 69; 2θ 39.40, I = 46; 2θ 45.82, I = 47; 2θ 51.60, I = 23; 2θ 61.99, I = 26; 2θ 75.98, I = 19

Structure:
```
10
Lattice="0.0000 5.6013 5.6013 5.6013 0.0000 5.6013 5.6013 5.6013 0.0000" Properties=species:S:1:pos:R:3 pbc="T T T"
K 0.0000 0.0000 0.0000
Rb 2.8007 2.8007 2.8007
Rb 8.4020 8.4020 8.4020
Tl 5.6013 5.6013 5.6013
Cl 5.6013 5.6013 2.9858
Cl 5.6013 2.9858 5.6013
Cl 8.2169 5.6013 5.6013
Cl 2.9858 5.6013 5.6013
Cl 5.6013 8.2169 5.6013
Cl 5.6013 5.6013 8.2169
```

[6]
Starting from a DFT-relaxed cell (GGA-PBE, the Materials Project), the powder X-ray diffraction pattern of MgSb2 was calculated for copper Kα.
Neutral-atom scattering factors, no anomalous dispersion.

Top 10 peaks for 2θ = 10–90°, in order of rising 2θ:
2θ 10.29, I = 12; 2θ 16.32, I = 18; 2θ 31.23, I = 32; 2θ 32.98, I = 26; 2θ 35.44, I = 100; 2θ 46.05, I = 23; 2θ 55.58, I = 16; 2θ 60.50, I = 21; 2θ 66.14, I = 13; 2θ 67.70, I = 8

Structure:
```
6
Lattice="5.4318 0.0000 0.0000 0.0000 1.6519 8.6004 0.0000 -1.6519 8.6004" Properties=species:S:1:pos:R:3 pbc="T T T"
Mg 0.0000 0.0000 0.0000
Mg 0.0000 0.0000 5.6193
Sb 0.0000 0.0000 11.3064
Sb 2.7159 0.0000 1.8435
Sb 2.7159 0.0000 7.7231
Sb 2.7159 0.0000 13.4359
```